Simulated powder diffractogram of FeMoF5 for Cu Ka, from a GGA+U-relaxed structure.
No peak broadening, texture or thermal motion is included.

Structural model:
a = 5.586 Å, b = 5.586 Å, c = 7.918 Å
α = 110.42°, β = 110.42°, γ = 74.14°
Atoms (fractional coordinates):
Fe 0.003 0.997 0.750
Fe 0.997 0.003 0.250
Mo 0.500 0.500 0.000
Mo 0.500 0.500 0.500
F 0.175 0.784 0.039
F 0.200 0.284 0.360
F 0.216 0.825 0.461
F 0.284 0.200 0.860
F 0.394 0.606 0.750
F 0.606 0.394 0.250
F 0.716 0.800 0.140
F 0.784 0.175 0.539
F 0.800 0.716 0.640
F 0.825 0.216 0.961

Top 12 peaks for 2θ = 5–70°, in order of falling intensity:
d/Å  intensity
3.413  100.0
4.009  82.4
3.367  46.3
1.953  32.3
1.723  26.2
2.004  22.6
1.979  18.1
2.578  15.5
2.590  14.7
1.706  14.5
5.157  14.2
2.607  14.1